# 1
Diffraction record for CaPr12Er7. The powder XRD pattern is calculated, not measured: it uses a structure optimized by DFT (PBE) and a wavelength of 1.5418 Å.
Peak positions follow from Bragg's law for the DFT cell and can differ from measured ones.

Top 12 peaks for 15° ≤ 2θ ≤ 90°, low angle first:
2theta  d (Å)  I_rel
15.19  5.831  29
21.55  4.123  29
24.13  3.688  18
26.47  3.367  52
28.64  3.117  23
30.66  2.916  100
34.39  2.608  18
37.79  2.381  31
43.92  2.062  59
59.29  1.558  17
68.23  1.374  18
84.77  1.144  18

Structural model:
Cell: 10.1001 10.1001 10.1001 Å, 109.47 109.47 109.47°
Fractional positions:
Ca  0.0000  0.0000  0.0000
Pr  0.0587  0.2898  0.7689
Pr  0.2311  0.5208  0.2898
Pr  0.2311  0.9413  0.7102
Pr  0.2898  0.2311  0.5208
Pr  0.2898  0.7689  0.0587
Pr  0.4792  0.7102  0.7689
Pr  0.5208  0.2898  0.2311
Pr  0.7102  0.2311  0.9413
Pr  0.7102  0.7689  0.4792
Pr  0.7689  0.0587  0.2898
Pr  0.7689  0.4792  0.7102
Pr  0.9413  0.7102  0.2311
Er  0.0000  0.0000  0.5000
Er  0.0000  0.5000  0.0000
Er  0.0000  0.5000  0.5000
Er  0.5000  0.0000  0.0000
Er  0.5000  0.0000  0.5000
Er  0.5000  0.5000  0.0000
Er  0.5000  0.5000  0.5000

***

# 2
Diffraction record for CaPr2Er3Te6. The powder XRD pattern is calculated, not measured: it uses a structure optimized by DFT (PBE) and a wavelength of 1.5418 Å.
Peak positions follow from Bragg's law for the DFT cell and can differ from measured ones.

Top 12 peaks for 15° ≤ 2θ ≤ 90°, low angle first:
2theta  d (Å)  I_rel
28.54  3.127  100
40.56  2.224  37
40.98  2.202  25
41.17  2.192  13
49.93  1.826  7
50.60  1.804  7
50.83  1.796  13
59.14  1.562  8
67.21  1.393  6
67.44  1.389  6
73.47  1.289  6
74.45  1.274  6

Structural model:
Cell: 9.9352 9.9352 8.9069 Å, 103.69 103.69 25.50°
Fractional positions:
Ca  0.0000  0.0000  0.0000
Pr  0.3264  0.3264  0.6548
Pr  0.6736  0.6736  0.3452
Er  0.0000  0.0000  0.5000
Er  0.3294  0.3294  0.1699
Er  0.6706  0.6706  0.8301
Te  0.1594  0.1594  0.5929
Te  0.1666  0.1666  0.0720
Te  0.4974  0.4974  0.2533
Te  0.5026  0.5026  0.7467
Te  0.8334  0.8334  0.9280
Te  0.8406  0.8406  0.4071